Simulated X-ray powder pattern
Compound: Li2Fe3P4O14
Radiation: Cu Kα X-rays
Structure: a PBE+U-relaxed structure
Neutral-atom scattering factors, no anomalous dispersion.

Largest 10 diffraction maxima, by intensity, 10 to 90 degrees two-theta:
| Position (°2θ) | I_rel |
| --- | --- |
| 32.04 | 100 |
| 29.19 | 90 |
| 30.09 | 46 |
| 27.43 | 44 |
| 25.65 | 39 |
| 31.04 | 34 |
| 17.08 | 33 |
| 21.87 | 29 |
| 41.28 | 25 |
| 28.50 | 23 |

Cell and atoms:
Lattice parameters (Å, degrees): 5.2936 6.6091 16.0316 81.55 82.38 72.02
Fractional coordinates of all 46 atoms:
Li: 0.0681 0.2335 0.4910
Li: 0.3626 0.6964 0.6204
Li: 0.6374 0.3036 0.3796
Li: 0.9319 0.7665 0.5090
Fe: 0.0350 0.6240 0.3121
Fe: 0.1624 0.2882 0.0761
Fe: 0.2531 0.9707 0.8332
Fe: 0.7469 0.0293 0.1668
Fe: 0.8376 0.7118 0.9239
Fe: 0.9650 0.3760 0.6879
P: 0.1657 0.0934 0.2884
P: 0.2810 0.7820 0.0384
P: 0.3685 0.4425 0.8184
P: 0.4365 0.7520 0.4254
P: 0.5635 0.2480 0.5746
P: 0.6315 0.5575 0.1816
P: 0.7190 0.2180 0.9616
P: 0.8343 0.9066 0.7116
O: 0.0229 0.2843 0.3397
O: 0.0294 0.0325 0.7211
O: 0.1069 0.9753 0.0813
O: 0.1366 0.6158 0.0343
O: 0.1808 0.6598 0.8406
O: 0.2161 0.3033 0.7904
O: 0.2562 0.3287 0.5768
O: 0.2922 0.8571 0.5048
O: 0.3148 0.5792 0.4095
O: 0.3295 0.1423 0.2064
O: 0.3938 0.9392 0.3465
O: 0.3975 0.5310 0.2425
O: 0.4256 0.8412 0.9518
O: 0.4636 0.3206 0.9084
O: 0.5364 0.6794 0.0916
O: 0.5744 0.1588 0.0482
O: 0.6025 0.4690 0.7575
O: 0.6062 0.0608 0.6535
O: 0.6705 0.8577 0.7936
O: 0.6852 0.4208 0.5905
O: 0.7078 0.1429 0.4952
O: 0.7438 0.6713 0.4232
O: 0.7839 0.6967 0.2096
O: 0.8192 0.3402 0.1594
O: 0.8634 0.3842 0.9657
O: 0.8931 0.0247 0.9187
O: 0.9706 0.9675 0.2789
O: 0.9771 0.7157 0.6603

=====

Simulated X-ray powder pattern
Compound: LiFe2P3O12
Radiation: Cu Kα X-rays
Structure: a PBE+U-relaxed structure
Neutral-atom scattering factors, no anomalous dispersion.

Largest 10 diffraction maxima, by intensity, 10 to 90 degrees two-theta:
| Position (°2θ) | I_rel |
| --- | --- |
| 20.61 | 100 |
| 23.93 | 90 |
| 24.28 | 90 |
| 24.06 | 88 |
| 35.88 | 68 |
| 20.50 | 67 |
| 29.01 | 62 |
| 20.40 | 56 |
| 14.39 | 46 |
| 32.47 | 35 |

Cell and atoms:
Lattice parameters (Å, degrees): 8.6181 8.6181 8.7238 120.04 120.04 60.52
Fractional coordinates of all 36 atoms:
Li: 0.0000 0.5000 0.0000
Li: 0.5000 0.0000 0.5000
Fe: 0.1390 0.6403 0.8513
Fe: 0.3597 0.8610 0.6487
Fe: 0.6403 0.1390 0.3513
Fe: 0.8610 0.3597 0.1487
P: 0.0500 0.2452 0.5350
P: 0.2452 0.0500 0.0350
P: 0.4584 0.5416 0.2500
P: 0.5416 0.4584 0.7500
P: 0.7548 0.9500 0.9650
P: 0.9500 0.7548 0.4650
O: 0.0269 0.3104 0.3875
O: 0.0582 0.4048 0.7297
O: 0.0848 0.2441 0.0579
O: 0.1143 0.8203 0.5250
O: 0.1797 0.8857 0.9750
O: 0.2441 0.0848 0.5579
O: 0.2665 0.5622 0.0852
O: 0.3104 0.0269 0.8875
O: 0.3768 0.4908 0.7980
O: 0.4048 0.0582 0.2297
O: 0.4378 0.7335 0.4148
O: 0.4908 0.3768 0.2980
O: 0.5092 0.6232 0.7020
O: 0.5622 0.2665 0.5852
O: 0.5952 0.9418 0.7703
O: 0.6232 0.5092 0.2020
O: 0.6896 0.9731 0.1125
O: 0.7335 0.4378 0.9148
O: 0.7559 0.9152 0.4421
O: 0.8203 0.1143 0.0250
O: 0.8857 0.1797 0.4750
O: 0.9152 0.7559 0.9421
O: 0.9418 0.5952 0.2703
O: 0.9731 0.6896 0.6125

=====

Simulated X-ray powder pattern
Compound: LiFePO4
Radiation: Cu Kα X-rays
Structure: a PBE+U-relaxed structure
Neutral-atom scattering factors, no anomalous dispersion.

Largest 10 diffraction maxima, by intensity, 10 to 90 degrees two-theta:
| Position (°2θ) | I_rel |
| --- | --- |
| 18.86 | 100 |
| 38.25 | 83 |
| 28.35 | 78 |
| 34.27 | 67 |
| 31.45 | 66 |
| 35.83 | 64 |
| 46.31 | 53 |
| 21.22 | 39 |
| 47.43 | 24 |
| 66.61 | 24 |

Cell and atoms:
Lattice parameters (Å, degrees): 5.0618 5.0618 6.2963 90.00 90.00 111.61
Fractional coordinates of all 14 atoms:
Li: 0.0000 0.0000 0.0000
Li: 0.0000 0.0000 0.5000
Fe: 0.3180 0.6820 0.7500
Fe: 0.6820 0.3180 0.2500
P: 0.3540 0.6460 0.2500
P: 0.6460 0.3540 0.7500
O: 0.2443 0.7557 0.0515
O: 0.2443 0.7557 0.4485
O: 0.2456 0.3138 0.2500
O: 0.3138 0.2456 0.7500
O: 0.6862 0.7544 0.2500
O: 0.7544 0.6862 0.7500
O: 0.7557 0.2443 0.5515
O: 0.7557 0.2443 0.9485

=====

Simulated X-ray powder pattern
Compound: LiFePO4
Radiation: Cu Kα X-rays
Structure: a PBE+U-relaxed structure
Neutral-atom scattering factors, no anomalous dispersion.

Largest 10 diffraction maxima, by intensity, 10 to 90 degrees two-theta:
| Position (°2θ) | I_rel |
| --- | --- |
| 15.15 | 100 |
| 28.70 | 80 |
| 29.57 | 79 |
| 18.68 | 55 |
| 27.55 | 52 |
| 19.15 | 44 |
| 31.91 | 37 |
| 18.91 | 32 |
| 32.34 | 29 |
| 37.89 | 27 |

Cell and atoms:
Lattice parameters (Å, degrees): 5.9646 6.6603 9.5562 71.77 82.64 79.48
Fractional coordinates of all 28 atoms:
Li: 0.0000 0.0000 0.0000
Li: 0.0354 0.4801 0.0426
Li: 0.1573 0.1380 0.4002
Li: 0.1968 0.6191 0.4426
Fe: 0.3950 0.4554 0.7890
Fe: 0.5854 0.7458 0.0044
Fe: 0.6122 0.8771 0.4373
Fe: 0.8027 0.1646 0.6546
P: 0.3127 0.9934 0.7296
P: 0.4337 0.0960 0.1064
P: 0.7617 0.5250 0.3363
P: 0.8857 0.6286 0.7123
O: 0.0649 0.0701 0.7842
O: 0.1341 0.5525 0.6580
O: 0.2871 0.9354 0.0889
O: 0.3205 0.9920 0.5680
O: 0.3358 0.3300 0.0177
O: 0.3929 0.7645 0.8340
O: 0.4239 0.0893 0.2716
O: 0.4710 0.1482 0.7430
O: 0.5161 0.5982 0.3957
O: 0.6799 0.0249 0.0467
O: 0.7277 0.4735 0.6991
O: 0.7706 0.5327 0.1708
O: 0.8062 0.8576 0.6076
O: 0.8578 0.2904 0.4245
O: 0.8773 0.6314 0.8736
O: 0.9097 0.6845 0.3538